Record 1
Diffraction record for SrLaCd17. The XRD peak list is simulated, not measured: it uses a cell relaxed with PBE and Cu Kα (λ = 1.5418 Å).
Lines closer than 0.1° are merged.

Crystal structure
a b c (Å): 10.2136 10.2136 15.0998
angles (deg): 90.00 90.00 120.00
Space group R3m (No. 160, hexagonal axes)
Symmetry-distinct sites (fractional):
Sr 0.0000 0.0000 0.0000 x3
La 0.0000 0.0000 0.3325 x3
Cd 0.0000 0.0000 0.5623 x3
Cd 0.0000 0.0000 0.7628 x3
Cd 0.0017 0.5009 0.8122 x9
Cd 0.0351 0.3677 0.3315 x18
Cd 0.1707 0.3414 0.4995 x9
Cd 0.1788 0.3577 0.8488 x9

Top 10 peaks for 2θ = 15–90°, sorted by position:
2.948 Å, I 32, (3 0 0)
2.871 Å, I 26, (0 2 4)
2.553 Å, I 57, (2 2 0)
2.544 Å, I 100, (0 3 3)
2.517 Å, I 35, (0 0 6)
2.494 Å, I 30, (2 0 5)
2.277 Å, I 75, (2 2 3)
2.257 Å, I 19, (1 1 6)
1.474 Å, I 23, (6 0 0)
1.458 Å, I 22, (0 3 9)

Record 2
Diffraction record for Sr2LaCd3. The XRD peak list is simulated, not measured: it uses a cell relaxed with PBE and Cu Kα (λ = 1.5418 Å).
Lines closer than 0.1° are merged.

Crystal structure
a b c (Å): 5.6679 16.9876 8.0640
angles (deg): 90.00 90.00 90.00
Space group Cmmm (No. 65)
Symmetry-distinct sites (fractional):
Sr 0.0000 0.0000 0.0000 x2
Sr 0.0000 0.0000 0.5000 x2
Sr 0.0000 0.3334 0.0000 x4
La 0.0000 0.3351 0.5000 x4
Cd 0.0000 0.1701 0.2641 x8
Cd 0.0000 0.5000 0.2587 x4

Top 10 peaks for 2θ = 15–90°, sorted by position:
2.840 Å, I 100, (2 0 0)
2.831 Å, I 20, (0 6 0)
2.016 Å, I 7, (0 0 4)
2.003 Å, I 14, (2 6 0)
1.642 Å, I 14, (2 0 4)
1.637 Å, I 30, (3 3 2)
1.421 Å, I 9, (2 6 4)
1.416 Å, I 5, (4 0 0)
1.274 Å, I 6, (1 3 6)
1.267 Å, I 12, (4 6 0)

Record 3
Diffraction record for La2Tb2Cd15. The XRD peak list is simulated, not measured: it uses a cell relaxed with PBE and Cu Kα (λ = 1.5418 Å).
Lines closer than 0.1° are merged.

Crystal structure
a b c (Å): 10.3216 10.3216 15.3186
angles (deg): 90.00 90.00 120.00
Space group R-3m (No. 166, hexagonal axes)
Symmetry-distinct sites (fractional):
La 0.0000 0.0000 0.1667 x6
Tb 0.0000 0.0000 0.3995 x6
Cd 0.0000 0.2921 0.5000 x18
Cd 0.0000 0.5000 0.0000 x9
Cd 0.0129 0.5064 0.6404 x18

Top 10 peaks for 2θ = 15–90°, sorted by position:
2.980 Å, I 24, (3 0 0)
2.908 Å, I 25, (0 2 4)
2.577 Å, I 100, (2 2 0)
2.553 Å, I 17, (0 0 6)
2.528 Å, I 41, (2 0 5)
2.303 Å, I 40, (2 2 3)
2.288 Å, I 10, (1 1 6)
1.490 Å, I 15, (6 0 0)
1.480 Å, I 14, (4 2 5)
1.478 Å, I 13, (0 3 9)

Record 4
Diffraction record for La8Tb2Cd. The XRD peak list is simulated, not measured: it uses a cell relaxed with PBE and Cu Kα (λ = 1.5418 Å).
Lines closer than 0.1° are merged.

Crystal structure
a b c (Å): 18.2841 6.8690 6.1947
angles (deg): 90.00 103.84 90.00
Space group C2/m (No. 12)
Symmetry-distinct sites (fractional):
La 0.0342 0.0000 0.2803 x4
La 0.0998 0.5000 0.5237 x4
La 0.1552 0.2346 0.9846 x8
Tb 0.2198 0.0000 0.5373 x4
Cd 0.0000 0.5000 0.0000 x2

Top 10 peaks for 2θ = 15–90°, sorted by position:
3.154 Å, I 32, (5 1 0)
3.077 Å, I 33, (2 0 -2)
3.007 Å, I 41, (0 0 2)
2.983 Å, I 100, (0 2 1)
2.949 Å, I 62, (6 0 -1)
2.934 Å, I 27, (2 2 -1)
2.736 Å, I 45, (3 1 -2)
2.716 Å, I 34, (4 2 0)
2.624 Å, I 28, (4 2 -1)
2.577 Å, I 44, (5 1 1)

Record 5
Diffraction record for La2Tb6Cd. The XRD peak list is simulated, not measured: it uses a cell relaxed with PBE and Cu Kα (λ = 1.5418 Å).
Lines closer than 0.1° are merged.

Crystal structure
a b c (Å): 9.8686 10.3663 5.5715
angles (deg): 90.00 90.00 90.00
Space group Pnnm (No. 58)
Symmetry-distinct sites (fractional):
La 0.1880 0.2496 0.0000 x4
Tb 0.0149 0.1815 0.5000 x4
Tb 0.1396 0.6030 0.0000 x4
Tb 0.1819 0.9254 0.0000 x4
Cd 0.0000 0.5000 0.5000 x2

Top 10 peaks for 2θ = 15–90°, sorted by position:
2.937 Å, I 18, (0 3 1)
2.832 Å, I 100, (3 0 1)
2.815 Å, I 53, (1 3 1)
2.785 Å, I 44, (0 0 2)
2.383 Å, I 9, (3 3 0)
1.985 Å, I 19, (2 3 2)
1.630 Å, I 14, (2 6 0)
1.628 Å, I 10, (1 6 1)
1.617 Å, I 14, (3 0 3)
1.614 Å, I 10, (1 3 3)

Record 6
Diffraction record for LaTb5Cd6. The XRD peak list is simulated, not measured: it uses a cell relaxed with PBE and Cu Kα (λ = 1.5418 Å).
Lines closer than 0.1° are merged.

Crystal structure
a b c (Å): 5.3351 16.0470 7.6275
angles (deg): 90.00 90.00 90.00
Space group Cmmm (No. 65)
Symmetry-distinct sites (fractional):
La 0.0000 0.0000 0.0000 x2
Tb 0.0000 0.0000 0.5000 x2
Tb 0.0000 0.3321 0.0000 x4
Tb 0.0000 0.3364 0.5000 x4
Cd 0.0000 0.1711 0.2577 x8
Cd 0.0000 0.5000 0.2577 x4

Top 10 peaks for 2θ = 15–90°, sorted by position:
2.684 Å, I 100, (1 3 2)
2.671 Å, I 49, (2 0 0)
1.907 Å, I 9, (0 0 4)
1.889 Å, I 18, (2 6 0)
1.552 Å, I 18, (2 0 4)
1.546 Å, I 18, (1 9 2)
1.543 Å, I 18, (3 3 2)
1.342 Å, I 11, (2 6 4)
1.205 Å, I 8, (1 3 6)
1.196 Å, I 11, (3 9 2)

Record 7
Diffraction record for LaTb2Cd8. The XRD peak list is simulated, not measured: it uses a cell relaxed with PBE and Cu Kα (λ = 1.5418 Å).
Lines closer than 0.1° are merged.

Crystal structure
a b c (Å): 8.3516 16.0645 5.3564
angles (deg): 90.00 129.82 90.00
Space group C2/m (No. 12)
Symmetry-distinct sites (fractional):
La 0.0000 0.0000 0.0000 x2
Tb 0.0000 0.3093 0.5000 x4
Cd 0.0000 0.2033 0.0000 x4
Cd 0.0006 0.5000 0.2516 x4
Cd 0.2328 0.1312 0.7333 x8

Top 10 peaks for 2θ = 15–90°, sorted by position:
2.755 Å, I 100, (1 5 -1)
2.712 Å, I 87, (1 1 1)
2.678 Å, I 72, (2 0 -2)
2.541 Å, I 28, (2 2 -2)
2.506 Å, I 77, (2 4 0)
2.447 Å, I 87, (3 3 -1)
2.244 Å, I 25, (1 3 -2)
2.109 Å, I 21, (1 7 -1)
1.436 Å, I 46, (2 10 0)
1.386 Å, I 22, (3 5 1)

Record 8
Diffraction record for La5Tb5Cd2. The XRD peak list is simulated, not measured: it uses a cell relaxed with PBE and Cu Kα (λ = 1.5418 Å).
Lines closer than 0.1° are merged.

Crystal structure
a b c (Å): 15.1052 4.9814 10.1697
angles (deg): 90.00 90.50 90.00
Space group C2/m (No. 12)
Symmetry-distinct sites (fractional):
La 0.0000 0.0000 0.0000 x2
La 0.0068 0.5000 0.2489 x4
La 0.1691 0.5000 0.5052 x4
Tb 0.0000 0.0000 0.5000 x2
Tb 0.1690 0.0000 0.7522 x4
Tb 0.1729 0.5000 0.9911 x4
Cd 0.1725 0.0000 0.2429 x4

Top 10 peaks for 2θ = 15–90°, sorted by position:
2.914 Å, I 100, (3 1 -2)
2.897 Å, I 100, (3 1 2)
2.542 Å, I 34, (0 0 4)
2.517 Å, I 33, (6 0 0)
2.491 Å, I 33, (0 2 0)
1.779 Å, I 24, (0 2 4)
1.771 Å, I 23, (6 2 0)
1.532 Å, I 14, (3 1 -6)
1.525 Å, I 14, (3 1 6)
1.505 Å, I 14, (3 3 2)

> Which formula does entry 1 have?

SrLaCd17

> Number 5 is which compound?

La2Tb6Cd

Copy entry 8 word for word.
Diffraction record for La5Tb5Cd2. The XRD peak list is simulated, not measured: it uses a cell relaxed with PBE and Cu Kα (λ = 1.5418 Å).
Lines closer than 0.1° are merged.

Crystal structure
a b c (Å): 15.1052 4.9814 10.1697
angles (deg): 90.00 90.50 90.00
Space group C2/m (No. 12)
Symmetry-distinct sites (fractional):
La 0.0000 0.0000 0.0000 x2
La 0.0068 0.5000 0.2489 x4
La 0.1691 0.5000 0.5052 x4
Tb 0.0000 0.0000 0.5000 x2
Tb 0.1690 0.0000 0.7522 x4
Tb 0.1729 0.5000 0.9911 x4
Cd 0.1725 0.0000 0.2429 x4

Top 10 peaks for 2θ = 15–90°, sorted by position:
2.914 Å, I 100, (3 1 -2)
2.897 Å, I 100, (3 1 2)
2.542 Å, I 34, (0 0 4)
2.517 Å, I 33, (6 0 0)
2.491 Å, I 33, (0 2 0)
1.779 Å, I 24, (0 2 4)
1.771 Å, I 23, (6 2 0)
1.532 Å, I 14, (3 1 -6)
1.525 Å, I 14, (3 1 6)
1.505 Å, I 14, (3 3 2)